Entry 1:
# Cs2NpS2O10
Calculated powder diffraction line list, λ = 1.5418 Å (Cu Kα). Input: a GGA-PBE-relaxed structure.
Lines closer than 0.1° are merged.

Structural model:
Cell: 11.046 9.158 13.228 Å, 90.00 121.35 90.00°
Space group P2_1/c (No. 14)
One atom of each set of equivalent atoms:
Cs1 0.212 0.100 0.432 x4
Cs2 0.270 0.577 0.301 x4
Np1 0.283 0.008 0.143 x4
S1 0.023 0.741 0.438 x4
S2 0.486 0.690 0.140 x4
O1 0.017 0.209 0.681 x4
O2 0.088 0.646 0.029 x4
O3 0.107 0.183 0.062 x4
O4 0.124 0.612 0.471 x4
O5 0.208 0.570 0.723 x4
O6 0.357 0.086 0.061 x4
O7 0.360 0.226 0.282 x4
O8 0.402 0.710 0.672 x4
O9 0.435 0.700 0.014 x4
O10 0.472 0.538 0.177 x4

Most intense lines, 2θ from 10° to 90°, in order of rising 2θ:
| two_theta | Rel. int. | index |
| --- | --- | --- |
| 18.83 | 100 | 2 0 0 |
| 22.56 | 68 | 1 1 -3 |
| 23.33 | 75 | 2 1 -3 |
| 25.58 | 59 | 0 1 3 |
| 27.14 | 91 | 2 2 0 |
| 27.60 | 69 | 3 1 -3 |

=====

Entry 2:
# La3Se4
Calculated powder diffraction line list, λ = 1.5418 Å (Cu Kα). Input: a GGA-PBE-relaxed structure.
Lines closer than 0.1° are merged.

Structural model:
Cell: 9.096 9.096 9.096 Å, 90.00 90.00 90.00°
Space group I-43d (No. 220)
One atom of each set of equivalent atoms:
La1 0.000 0.250 0.375 x12
Se1 0.075 0.075 0.075 x16

Most intense lines, 2θ from 10° to 90°, in order of rising 2θ:
| two_theta | Rel. int. | index |
| --- | --- | --- |
| 23.96 | 24 | 2 1 1 |
| 31.09 | 100 | 3 1 0 |
| 36.98 | 68 | 3 2 1 |
| 44.55 | 23 | 4 2 0 |
| 62.99 | 30 | 6 1 1 |
| 77.04 | 19 | 5 5 2 |